Structure and computed X-ray powder pattern of V3CrP6O24 (a structure optimized by DFT (GGA+U); Cu Kα, 1.54184 Å).
Kinematic intensities with the Lorentz-polarization factor, no thermal factor.

Principal peaks in the range 10 to 90 degrees two-theta, sorted by position:
d (Å)  2theta  I (rel.)
6.068  14.60  50
4.366  20.34  57
4.219  21.06  24
3.648  24.40  100
3.034  29.44  48
2.752  32.54  31
2.740  32.68  15
1.939  46.86  11
1.710  53.58  12
1.595  57.83  11

Cell lengths 8.743, 8.743, 8.743 Å; angles 57.70, 57.70, 57.70 degrees
Positions (direct):
V (0.000, 0.000, 0.000)
V (0.217, 0.217, 0.217)
V (0.497, 0.497, 0.497)
Cr (0.715, 0.715, 0.715)
P (0.110, 0.826, 0.386)
P (0.329, 0.605, 0.891)
P (0.386, 0.110, 0.826)
P (0.605, 0.891, 0.329)
P (0.826, 0.386, 0.110)
P (0.891, 0.329, 0.605)
O (0.087, 0.257, 0.451)
O (0.111, 0.846, 0.197)
O (0.160, 0.803, 0.895)
O (0.172, 0.983, 0.345)
O (0.197, 0.111, 0.846)
O (0.257, 0.451, 0.087)
O (0.273, 0.630, 0.439)
O (0.345, 0.172, 0.983)
O (0.355, 0.566, 0.724)
O (0.439, 0.273, 0.630)
O (0.451, 0.087, 0.257)
O (0.511, 0.597, 0.880)
O (0.549, 0.918, 0.834)
O (0.566, 0.724, 0.355)
O (0.597, 0.880, 0.511)
O (0.630, 0.439, 0.273)
O (0.724, 0.355, 0.566)
O (0.803, 0.895, 0.160)
O (0.834, 0.549, 0.918)
O (0.846, 0.197, 0.111)
O (0.880, 0.511, 0.597)
O (0.895, 0.160, 0.803)
O (0.918, 0.834, 0.549)
O (0.983, 0.345, 0.172)